The following is a calculated X-ray powder pattern of RbYSe2N. It was derived from a DFT-relaxed cell (PBE, Alexandria), using Cu Kα X-rays.
No peak broadening, texture or thermal motion is included.

Cell and atoms:
Cell lengths 5.624, 5.624, 4.751 Å; angles 90.00, 90.00, 90.00 degrees
Atoms (fractional coordinates):
Rb (0.000, 0.000, 0.000)
Y (0.500, 0.500, 0.500)
Se (0.000, 0.500, 0.500)
Se (0.500, 0.000, 0.500)
N (0.500, 0.500, 0.000)

Largest 6 diffraction maxima, low angle first, 2θ from 10° to 90°:
(1 0 1), 3.630 Å, 2θ = 24.5°, I 85; (1 1 1), 3.050 Å, 2θ = 29.3°, I 58; (2 0 0), 2.812 Å, 2θ = 31.8°, I 100; (2 1 1), 2.223 Å, 2θ = 40.6°, I 44; (2 0 2), 1.815 Å, 2θ = 50.3°, I 53; (2 2 2), 1.525 Å, 2θ = 60.7°, I 36